For PuAl2Ga2, a DFT-relaxed cell (GGA-PBE, the Materials Project) gives the theoretical powder diffractogram in this record (copper Kα).

Top 10 peaks for 2θ = 15–90°, in order of falling intensity:
- 2θ = 38.8°, I = 100
- 2θ = 28.3°, I = 85
- 2θ = 36.0°, I = 67
- 2θ = 24.0°, I = 44
- 2θ = 15.5°, I = 41
- 2θ = 40.6°, I = 35
- 2θ = 42.0°, I = 29
- 2θ = 72.8°, I = 25
- 2θ = 21.6°, I = 24
- 2θ = 58.5°, I = 22

Structure:
```
data_PuAl2Ga2
_chemical_formula_sum 'Pu4 Al8 Ga8'
_cell_length_a 4.306
_cell_length_b 6.273
_cell_length_c 13.802
_cell_angle_alpha 90.00
_cell_angle_beta 90.00
_cell_angle_gamma 90.00
_symmetry_space_group_name_H-M 'I m m a'
_symmetry_Int_Tables_number 74
_symmetry_space_group_name_Hall '-I 2b 2'
loop_
_atom_site_label
_atom_site_type_symbol
_atom_site_fract_x
_atom_site_fract_y
_atom_site_fract_z
Pu1 Pu 0.000 0.250 0.114
Al1 Al 0.000 0.000 0.500
Al2 Al 0.000 0.250 0.894
Ga1 Ga 0.000 0.030 0.697
```

For Al4GaSb5, a DFT-relaxed cell (GGA-PBE, the Materials Project) gives the theoretical powder diffractogram in this record (copper Kα).

Top 10 peaks for 2θ = 15–90°, in order of falling intensity:
- 2θ = 24.8°, I = 100
- 2θ = 41.0°, I = 60
- 2θ = 48.5°, I = 48
- 2θ = 28.7°, I = 23
- 2θ = 65.3°, I = 19
- 2θ = 74.6°, I = 17
- 2θ = 80.0°, I = 11
- 2θ = 59.3°, I = 10
- 2θ = 50.8°, I = 6
- 2θ = 88.9°, I = 5

Structure:
```
data_Al4GaSb5
_chemical_formula_sum 'Al8 Ga2 Sb10'
_cell_length_a 4.410
_cell_length_b 22.024
_cell_length_c 6.225
_cell_angle_alpha 90.00
_cell_angle_beta 90.00
_cell_angle_gamma 90.00
_symmetry_space_group_name_H-M 'I m m 2'
_symmetry_Int_Tables_number 44
loop_
_symmetry_equiv_pos_as_xyz
'x,y,z'
'-x,-y,z'
'-x,y,z'
'x,-y,z'
'x+1/2,y+1/2,z+1/2'
'-x+1/2,-y+1/2,z+1/2'
'-x+1/2,y+1/2,z+1/2'
'x+1/2,-y+1/2,z+1/2'
loop_
_atom_site_label
_atom_site_type_symbol
_atom_site_fract_x
_atom_site_fract_y
_atom_site_fract_z
Al1 Al 0.000 0.100 0.000
Al2 Al 0.000 0.300 0.000
Ga1 Ga 0.000 0.500 0.000
Sb1 Sb 0.000 0.000 0.750
Sb2 Sb 0.000 0.200 0.750
Sb3 Sb 0.000 0.400 0.750
```

For SmAlGa, a DFT-relaxed cell (GGA-PBE, the Materials Project) gives the theoretical powder diffractogram in this record (copper Kα).

Top 10 peaks for 2θ = 15–90°, in order of falling intensity:
- 2θ = 32.8°, I = 100
- 2θ = 40.9°, I = 41
- 2θ = 23.3°, I = 33
- 2θ = 53.4°, I = 25
- 2θ = 69.4°, I = 23
- 2θ = 63.8°, I = 22
- 2θ = 46.7°, I = 9
- 2θ = 77.8°, I = 8
- 2θ = 52.8°, I = 7
- 2θ = 74.4°, I = 7

Structure:
```
data_SmAlGa
_chemical_formula_sum 'Sm1 Al1 Ga1'
_cell_length_a 4.4158
_cell_length_b 4.4158
_cell_length_c 3.8905
_cell_angle_alpha 90.00
_cell_angle_beta 90.00
_cell_angle_gamma 120.00
_symmetry_space_group_name_H-M 'P -6 m 2'
_symmetry_Int_Tables_number 187
_symmetry_space_group_name_Hall 'P -6 2'
loop_
_atom_site_label
_atom_site_type_symbol
_atom_site_fract_x
_atom_site_fract_y
_atom_site_fract_z
Sm1 Sm 0.0000 0.0000 0.0000
Al1 Al 0.3333 0.6667 0.5000
Ga1 Ga 0.6667 0.3333 0.5000
```